For LaPm5Nd5, the GGA-PBE geometry in Alexandria gives the calculated powder diffraction line list in this record (Cu Kα).
Peak positions follow from Bragg's law for the DFT cell and can differ from measured ones.

Crystal structure
Lattice parameters (Å, degrees): 7.0924 7.1041 8.6378 75.94 76.54 71.74
Space group P-1 (No. 2)
Asymmetric unit:
La (0.0000, 0.0000, 0.0000)
Pm (0.2251, 0.6446, 0.2927)
Pm (0.3061, 0.2947, 0.6484)
Pm (0.5000, 0.0000, 0.0000)
Nd (0.0000, 0.5000, 0.0000)
Nd (0.1463, 0.1431, 0.3550)
Nd (0.3590, 0.7614, 0.7183)

The 8 most intense peaks (10 to 90 degrees two-theta), in order of rising 2θ:
2θ (°)	intensity	h k l
30.69	100	2 0 -1
30.86	72	0 2 -1
31.12	78	2 2 1
31.35	98	0 2 2
31.59	73	2 0 2
32.53	64	0 0 3
33.33	25	1 -2 0
43.52	24	2 -2 0